(1)
Diffraction record for TeAsXeO2F11. The powder X-ray diffraction pattern is computed, not measured: it uses a PBE-relaxed structure and λ = 1.5418 Å (Cu Kα).

Structure:
a b c (Å): 5.428 7.438 14.212
angles (deg): 89.49 84.11 84.21
Space group P-1 (No. 2)
Asymmetric unit:
Te: 0.231 0.266 0.368 (multiplicity 2)
As: 0.107 0.236 0.874 (multiplicity 2)
Xe: 0.366 0.263 0.120 (multiplicity 2)
O: 0.312 0.475 0.443 (multiplicity 2)
O: 0.433 0.342 0.254 (multiplicity 2)
F: 0.010 0.019 0.897 (multiplicity 2)
F: 0.061 0.204 0.483 (multiplicity 2)
F: 0.063 0.603 0.666 (multiplicity 2)
F: 0.099 0.678 0.029 (multiplicity 2)
F: 0.111 0.708 0.206 (multiplicity 2)
F: 0.135 0.065 0.308 (multiplicity 2)
F: 0.230 0.446 0.862 (multiplicity 2)
F: 0.341 0.140 0.790 (multiplicity 2)
F: 0.348 0.176 0.965 (multiplicity 2)
F: 0.417 0.609 0.383 (multiplicity 2)
F: 0.486 0.876 0.597 (multiplicity 2)

Principal peaks in the range 5 to 70 degrees two-theta, by intensity:
(0 2 0), 24.03°, I 100.0
(1 -1 0), 21.39°, I 91.8
(1 1 0), 19.42°, I 84.2
(0 1 -1), 13.50°, I 69.5
(0 0 4), 25.20°, I 65.2
(0 1 2), 17.35°, I 61.1
(0 0 1), 6.25°, I 46.4
(0 2 4), 35.12°, I 30.5

(2)
Diffraction record for InN. The powder X-ray diffraction pattern is computed, not measured: it uses a PBE-relaxed structure and λ = 1.5418 Å (Cu Kα).

Structure:
a b c (Å): 3.5839 3.5839 5.7909
angles (deg): 90.00 90.00 120.00
Space group P6_3mc (No. 186)
Asymmetric unit:
In: 0.3333 0.6667 0.0000 (multiplicity 2)
N: 0.3333 0.6667 0.6207 (multiplicity 2)

Principal peaks in the range 5 to 70 degrees two-theta, by intensity:
(1 0 1), 32.74°, I 100.0
(1 0 0), 28.76°, I 35.2
(0 0 2), 30.88°, I 31.7
(1 0 3), 56.11°, I 27.7
(1 1 0), 50.96°, I 26.6
(1 1 2), 60.79°, I 25.9
(1 0 2), 42.71°, I 19.2
(2 0 1), 61.90°, I 15.8

(3)
Diffraction record for Mg16Al12Te. The powder X-ray diffraction pattern is computed, not measured: it uses a PBE-relaxed structure and λ = 1.5418 Å (Cu Kα).

Structure:
a b c (Å): 10.600 10.600 10.600
angles (deg): 90.00 90.00 90.00
Space group I-43m (No. 217)
Asymmetric unit:
Mg: 0.046 0.358 0.642 (multiplicity 24)
Mg: 0.168 0.168 0.168 (multiplicity 8)
Al: 0.093 0.093 0.719 (multiplicity 24)
Te: 0.000 0.000 0.000 (multiplicity 2)

Principal peaks in the range 5 to 70 degrees two-theta, by intensity:
(3 3 0), 35.94°, I 100.0
(1 1 0), 11.81°, I 32.9
(7 2 1), 64.61°, I 26.1
(3 3 2), 39.89°, I 23.3
(3 2 1), 31.58°, I 19.1
(4 2 2), 41.74°, I 15.6
(5 5 0), 61.89°, I 15.5
(2 1 1), 20.52°, I 12.9

(4)
Diffraction record for MnSn. The powder X-ray diffraction pattern is computed, not measured: it uses a PBE-relaxed structure and λ = 1.5418 Å (Cu Kα).

Structure:
a b c (Å): 6.139 6.139 6.139
angles (deg): 90.00 90.00 90.00
Space group F-43m (No. 216)
Asymmetric unit:
Mn: 0.000 0.000 0.000 (multiplicity 4)
Sn: 0.250 0.250 0.750 (multiplicity 4)

Principal peaks in the range 5 to 70 degrees two-theta, by intensity:
(1 1 1), 25.13°, I 100.0
(2 2 0), 41.61°, I 69.6
(3 1 1), 49.23°, I 49.0
(3 3 1), 66.38°, I 20.3
(2 0 0), 29.09°, I 11.9
(4 0 0), 60.31°, I 11.5
(4 2 0), 68.34°, I 5.6
(2 2 2), 51.58°, I 3.8